Record 1
Sr3P4: calculated XRD peak list (a wavelength of 1.5418 Å), based on a GGA-PBE-relaxed structure.
Intensities are scaled so that the largest is 100.

Top 6 peaks for 10 to 90 degrees two-theta, in order of rising 2θ:
- 3.973 Å, I 58
- 3.130 Å, I 100
- 2.718 Å, I 96
- 2.699 Å, I 94
- 2.360 Å, I 86
- 2.067 Å, I 62

Structural model:
Unit cell a=9.2153 b=7.7631 c=11.3116 alpha=53.97 beta=42.94 gamma=83.08
Fractional coordinates of all 14 atoms:
Sr 0.0000 0.0000 0.0000
Sr 0.2500 0.2500 0.2500
Sr 0.3424 0.6752 0.3213
Sr 0.5889 0.9287 0.5748
Sr 0.6752 0.3424 0.6611
Sr 0.9287 0.5889 0.9076
P 0.0777 0.9148 0.2684
P 0.4220 0.5854 0.5761
P 0.5109 0.9816 0.3352
P 0.5854 0.4220 0.4166
P 0.6739 0.8334 0.8280
P 0.8334 0.6739 0.6646
P 0.9148 0.0777 0.7391
P 0.9816 0.5109 0.1723

---

Record 2
MgTi3: calculated XRD peak list (a wavelength of 1.5418 Å), based on a GGA-PBE-relaxed structure.
Intensities are scaled so that the largest is 100.

Top 6 peaks for 10 to 90 degrees two-theta, in order of rising 2θ:
- 2.518 Å, I 24
- 2.414 Å, I 42
- 2.292 Å, I 52
- 2.232 Å, I 100
- 1.356 Å, I 17
- 1.266 Å, I 18

Structural model:
Unit cell a=2.8765 b=9.6557 c=5.2071 alpha=90.00 beta=90.00 gamma=90.00
Fractional coordinates of all 8 atoms:
Mg 0.0000 0.0000 0.0000
Mg 0.5000 0.5000 0.5000
Ti 0.0000 0.2488 0.3299
Ti 0.0000 0.5000 0.9878
Ti 0.0000 0.7512 0.3299
Ti 0.5000 0.0000 0.4878
Ti 0.5000 0.2512 0.8299
Ti 0.5000 0.7488 0.8299

---

Record 3
Si6Bi9O26: calculated XRD peak list (a wavelength of 1.5418 Å), based on a GGA-PBE-relaxed structure.
Intensities are scaled so that the largest is 100.

Top 6 peaks for 10 to 90 degrees two-theta, in order of rising 2θ:
- 4.014 Å, I 43
- 3.266 Å, I 41
- 3.190 Å, I 37
- 2.908 Å, I 100
- 2.865 Å, I 46
- 1.898 Å, I 34

Structural model:
Unit cell a=9.7451 b=9.7451 c=7.0830 alpha=90.00 beta=90.00 gamma=120.00
Fractional coordinates of all 41 atoms:
Si 0.0250 0.6295 0.0000
Si 0.3705 0.3955 0.0000
Si 0.4047 0.0246 0.4934
Si 0.6045 0.9750 0.0000
Si 0.6199 0.5953 0.4934
Si 0.9754 0.3801 0.4934
Bi 0.0060 0.2395 0.9803
Bi 0.2335 0.9940 0.9803
Bi 0.2505 0.2268 0.4866
Bi 0.3333 0.6667 0.2458
Bi 0.3333 0.6667 0.7344
Bi 0.6667 0.3333 0.2011
Bi 0.7605 0.7665 0.9803
Bi 0.7732 0.0237 0.4866
Bi 0.9763 0.7495 0.4866
O 0.0000 0.0000 0.4557
O 0.0000 0.0000 0.9578
O 0.0942 0.7511 0.8151
O 0.0977 0.7560 0.1804
O 0.1210 0.5289 0.9995
O 0.1701 0.4994 0.4954
O 0.2440 0.3416 0.1804
O 0.2489 0.3431 0.8151
O 0.3243 0.0726 0.6687
O 0.3292 0.8299 0.4954
O 0.3417 0.0878 0.3131
O 0.4079 0.8790 0.9995
O 0.4711 0.5921 0.9995
O 0.4774 0.3119 0.0031
O 0.5006 0.6708 0.4954
O 0.5148 0.4033 0.4774
O 0.5967 0.1115 0.4774
O 0.6569 0.9058 0.8151
O 0.6584 0.9023 0.1804
O 0.6881 0.1655 0.0031
O 0.7461 0.6583 0.3131
O 0.7483 0.6757 0.6687
O 0.8345 0.5226 0.0031
O 0.8885 0.4852 0.4774
O 0.9122 0.2539 0.3131
O 0.9274 0.2517 0.6687

---

Record 4
Tb3Sb4Pd8: calculated XRD peak list (a wavelength of 1.5418 Å), based on a GGA-PBE-relaxed structure.
Intensities are scaled so that the largest is 100.

Top 6 peaks for 10 to 90 degrees two-theta, in order of rising 2θ:
- 2.560 Å, I 35
- 2.351 Å, I 100
- 1.663 Å, I 9
- 1.394 Å, I 9
- 1.357 Å, I 22
- 1.176 Å, I 8

Structural model:
Unit cell a=9.4047 b=9.4047 c=9.4047 alpha=60.00 beta=60.00 gamma=60.00
Fractional coordinates of all 30 atoms:
Tb 0.2246 0.2246 0.7754
Tb 0.2246 0.7754 0.2246
Tb 0.2246 0.7754 0.7754
Tb 0.7754 0.2246 0.2246
Tb 0.7754 0.2246 0.7754
Tb 0.7754 0.7754 0.2246
Sb 0.0000 0.0000 0.0000
Sb 0.0000 0.0000 0.5000
Sb 0.0000 0.5000 0.0000
Sb 0.0000 0.5000 0.5000
Sb 0.5000 0.0000 0.0000
Sb 0.5000 0.0000 0.5000
Sb 0.5000 0.5000 0.0000
Sb 0.5000 0.5000 0.5000
Pd 0.1442 0.6186 0.6186
Pd 0.1676 0.1676 0.1676
Pd 0.1676 0.1676 0.4971
Pd 0.1676 0.4971 0.1676
Pd 0.3814 0.3814 0.3814
Pd 0.3814 0.3814 0.8558
Pd 0.3814 0.8558 0.3814
Pd 0.4971 0.1676 0.1676
Pd 0.5029 0.8324 0.8324
Pd 0.6186 0.1442 0.6186
Pd 0.6186 0.6186 0.1442
Pd 0.6186 0.6186 0.6186
Pd 0.8324 0.5029 0.8324
Pd 0.8324 0.8324 0.5029
Pd 0.8324 0.8324 0.8324
Pd 0.8558 0.3814 0.3814

---

Record 5
Te8RuCl2: calculated XRD peak list (a wavelength of 1.5418 Å), based on a GGA-PBE-relaxed structure.
Intensities are scaled so that the largest is 100.

Top 6 peaks for 10 to 90 degrees two-theta, in order of rising 2θ:
- 7.408 Å, I 81
- 2.989 Å, I 100
- 2.941 Å, I 98
- 2.739 Å, I 48
- 2.147 Å, I 61
- 1.852 Å, I 48

Structural model:
Unit cell a=8.7006 b=8.7006 c=10.7015 alpha=102.26 beta=102.26 gamma=115.05
Fractional coordinates of all 22 atoms:
Te 0.0188 0.2438 0.7109
Te 0.0913 0.7849 0.8534
Te 0.2078 0.4904 0.3677
Te 0.2151 0.9087 0.6466
Te 0.2438 0.0188 0.2109
Te 0.2514 0.2893 0.9710
Te 0.2893 0.2514 0.4710
Te 0.4904 0.2078 0.8677
Te 0.5096 0.7922 0.1323
Te 0.7107 0.7486 0.5290
Te 0.7486 0.7107 0.0290
Te 0.7562 0.9812 0.7891
Te 0.7849 0.0913 0.3534
Te 0.7922 0.5096 0.6323
Te 0.9087 0.2151 0.1466
Te 0.9812 0.7562 0.2891
Ru 0.0000 0.0000 0.0000
Ru 0.0000 0.0000 0.5000
Cl 0.0000 0.5000 0.0000
Cl 0.4080 0.5920 0.7500
Cl 0.5000 0.0000 0.5000
Cl 0.5920 0.4080 0.2500

---

Record 6
Sr7Cu2HgBiSbO15: calculated XRD peak list (a wavelength of 1.5418 Å), based on a GGA-PBE-relaxed structure.
Intensities are scaled so that the largest is 100.

Top 6 peaks for 10 to 90 degrees two-theta, in order of rising 2θ:
- 2.963 Å, I 79
- 2.937 Å, I 78
- 2.757 Å, I 100
- 1.746 Å, I 32
- 1.633 Å, I 34
- 1.620 Å, I 29

Structural model:
Unit cell a=7.7392 b=9.0222 c=11.7885 alpha=90.00 beta=90.00 gamma=90.00
Fractional coordinates of all 54 atoms:
Sr 0.0000 0.2101 0.0000
Sr 0.0000 0.7899 0.0000
Sr 0.0071 0.2073 0.3431
Sr 0.0071 0.7927 0.3431
Sr 0.2500 0.5000 0.8408
Sr 0.4929 0.2073 0.3431
Sr 0.4929 0.7927 0.3431
Sr 0.5000 0.2101 0.0000
Sr 0.5000 0.7899 0.0000
Sr 0.5071 0.2073 0.6569
Sr 0.5071 0.7927 0.6569
Sr 0.7500 0.5000 0.1592
Sr 0.9929 0.2073 0.6569
Sr 0.9929 0.7927 0.6569
Cu 0.2500 0.0000 0.1736
Cu 0.2500 0.0000 0.4996
Cu 0.7500 0.0000 0.5004
Cu 0.7500 0.0000 0.8264
Hg 0.2500 0.5000 0.5020
Hg 0.7500 0.5000 0.4980
Bi 0.2500 0.5000 0.1798
Bi 0.7500 0.5000 0.8202
Sb 0.2500 0.0000 0.8325
Sb 0.7500 0.0000 0.1675
O 0.0000 0.0000 0.5000
O 0.0000 0.5000 0.0000
O 0.0055 0.0000 0.1692
O 0.0285 0.5000 0.2893
O 0.2500 0.0000 0.0010
O 0.2500 0.0000 0.3390
O 0.2500 0.0000 0.6653
O 0.2500 0.2262 0.8363
O 0.2500 0.2628 0.1659
O 0.2500 0.2730 0.5040
O 0.2500 0.7270 0.5040
O 0.2500 0.7372 0.1659
O 0.2500 0.7738 0.8363
O 0.4715 0.5000 0.2893
O 0.4945 0.0000 0.1692
O 0.5000 0.0000 0.5000
O 0.5000 0.5000 0.0000
O 0.5055 0.0000 0.8308
O 0.5285 0.5000 0.7107
O 0.7500 0.0000 0.3347
O 0.7500 0.0000 0.6610
O 0.7500 0.0000 0.9990
O 0.7500 0.2262 0.1637
O 0.7500 0.2628 0.8341
O 0.7500 0.2730 0.4960
O 0.7500 0.7270 0.4960
O 0.7500 0.7372 0.8341
O 0.7500 0.7738 0.1637
O 0.9715 0.5000 0.7107
O 0.9945 0.0000 0.8308